Record 1
This entry pairs a crystal structure of Sr3Ge2BiAu6 with its computed powder XRD pattern. Radiation: Cu Ka. Structure: a PBE-relaxed structure.
Peak positions follow from Bragg's law for the DFT cell and can differ from measured ones.

a b c (Å): 6.6636 6.6636 8.6355
angles (deg): 90.00 90.00 120.00
Space group P-3m1 (No. 164)
Inequivalent atoms, fractional coordinates:
Sr1 0.0000 0.0000 0.0000
Sr2 0.3333 0.6667 0.6602
Ge1 0.3333 0.6667 0.0612
Bi1 0.0000 0.0000 0.5000
Au1 0.1824 0.3649 0.2765

Principal peaks in the range 2θ = 5–70°, in order of rising 2θ:
hkl	2θ/deg	intensity
1 0 1	18.49	48.0
0 0 2	20.57	29.0
0 0 3	31.03	18.3
2 0 1	32.72	100.0
1 1 2	33.99	36.4
2 0 2	37.49	61.3
2 1 0	41.40	16.4
0 2 3	44.46	46.7
2 2 0	55.13	29.0
1 2 4	60.32	16.2

Record 2
This entry pairs a crystal structure of CrSiTe4 with its computed powder XRD pattern. Radiation: Cu Ka. Structure: a PBE-relaxed structure.
Peak positions follow from Bragg's law for the DFT cell and can differ from measured ones.

a b c (Å): 13.8167 3.7221 6.9920
angles (deg): 90.00 115.10 90.00
Space group C2/m (No. 12)
Inequivalent atoms, fractional coordinates:
Cr1 0.0000 0.0000 0.0000
Si1 0.0000 0.5000 0.5000
Te1 0.1214 0.5000 0.2770
Te2 0.1237 0.0000 0.7882

Principal peaks in the range 2θ = 5–70°, in order of rising 2θ:
hkl	2θ/deg	intensity
0 0 2	28.19	33.5
4 0 0	28.54	40.1
1 1 1	30.20	100.0
4 0 -2	30.49	55.1
3 1 -1	31.31	43.9
3 1 1	38.92	28.5
5 1 -1	40.68	18.6
3 1 -3	46.08	41.2
0 2 0	48.90	33.3
7 1 -1	53.01	36.4